Entry 1:
This entry pairs a crystal structure of Li2Mn2Si4O11 with its calculated X-ray powder pattern. Radiation: Cu Ka. Structure: a DFT-relaxed cell (GGA+U, the Materials Project).
No peak broadening, texture or thermal motion is included.

Main lines, by angle (2θ = 10–90°):
2θ (°)	I/Imax	index
12.36	50.7	0 1 0
13.38	35.1	1 0 0
25.82	17.9	1 -2 1
26.36	100.0	1 -1 2
26.76	15.1	-2 1 1
29.89	70.4	2 0 -2
31.71	26.4	1 2 0
32.98	24.8	2 1 0
36.06	33.6	2 -1 2
41.44	47.9	1 1 -4

Structural model:
abc: 7.0471 7.5893 8.9192
angles: 99.49 100.98 104.56
Space group P-1 (No. 2)
Inequivalent atoms, fractional coordinates:
Li  0.2064  0.3032  0.3903 x2
Li  0.2477  0.3515  0.8579 x2
Mn  0.3757  0.1116  0.1182 x2
Mn  0.3818  0.1025  0.6295 x2
Si  0.0267  0.9015  0.2323 x2
Si  0.2219  0.7237  0.5203 x2
Si  0.2238  0.7312  0.9579 x2
Si  0.3886  0.5333  0.2400 x2
O  0.0404  0.7739  0.3815 x2
O  0.0496  0.7927  0.0227 x2
O  0.1516  0.6820  0.7099 x2
O  0.1880  0.0623  0.3218 x2
O  0.1894  0.0854  0.8153 x2
O  0.2587  0.5604  0.3983 x2
O  0.2604  0.5685  0.0255 x2
O  0.3784  0.3491  0.1838 x2
O  0.4063  0.3484  0.6773 x2
O  0.4070  0.8645  0.5809 x2
O  0.4124  0.8689  0.0597 x2

---

Entry 2:
This entry pairs a crystal structure of CoPO4 with its calculated X-ray powder pattern. Radiation: Cu Ka. Structure: a DFT-relaxed cell (GGA+U, the Materials Project).
No peak broadening, texture or thermal motion is included.

Main lines, by angle (2θ = 10–90°):
2θ (°)	I/Imax	index
19.72	43.1	0 1 1
20.44	42.2	1 1 0
21.43	75.0	1 0 -2
24.14	100.0	1 1 1
26.10	39.4	1 0 2
28.90	15.7	2 1 -1
32.54	52.9	2 1 -2
46.51	15.1	1 2 -3
59.75	13.3	2 3 -2
60.69	13.6	3 1 -5

Structural model:
abc: 7.8020 5.2942 8.7769
angles: 90.00 102.98 90.00
Space group Pc (No. 7)
Inequivalent atoms, fractional coordinates:
Co  0.0000  0.1287  0.0000 x2
Co  0.4841  0.3109  0.2949 x2
P  0.2295  0.1898  0.7521 x2
P  0.7175  0.3269  0.0385 x2
O  0.0851  0.1638  0.5982 x2
O  0.1432  0.2752  0.8865 x2
O  0.3127  0.0747  0.2942 x2
O  0.3652  0.3822  0.7258 x2
O  0.5907  0.2166  0.1313 x2
O  0.6476  0.4123  0.4688 x2
O  0.7490  0.1396  0.9092 x2
O  0.9094  0.3495  0.1399 x2

---

Entry 3:
This entry pairs a crystal structure of K2CoPCO7 with its calculated X-ray powder pattern. Radiation: Cu Ka. Structure: a DFT-relaxed cell (GGA+U, the Materials Project).
No peak broadening, texture or thermal motion is included.

Main lines, by angle (2θ = 10–90°):
2θ (°)	I/Imax	index
15.78	48.8	0 1 1
20.50	36.6	1 1 0
24.82	41.0	1 0 2
25.59	22.5	0 2 0
31.74	51.0	1 2 -1
31.85	100.0	1 2 1
32.36	73.2	2 0 0
32.71	34.7	1 0 3
40.00	33.5	0 3 1
46.23	24.6	0 2 4

Structural model:
abc: 5.5364 6.9619 9.5070
angles: 90.00 90.60 90.00
Space group P2_1/m (No. 11)
Inequivalent atoms, fractional coordinates:
K  0.2434  0.0206  0.2453 x4
Co  0.2306  0.2500  0.6367 x2
P  0.2778  0.7500  0.5678 x2
C  0.2723  0.2500  0.9007 x2
O  0.0678  0.2500  0.8282 x2
O  0.1084  0.7500  0.4363 x2
O  0.2443  0.5668  0.6566 x4
O  0.2825  0.2500  0.0325 x2
O  0.4515  0.2500  0.4878 x2
O  0.4599  0.2500  0.8183 x2

---

Entry 4:
This entry pairs a crystal structure of BaYFe2O5 with its calculated X-ray powder pattern. Radiation: Cu Ka. Structure: a DFT-relaxed cell (GGA+U, the Materials Project).
No peak broadening, texture or thermal motion is included.

Main lines, by angle (2θ = 10–90°):
2θ (°)	I/Imax	index
22.38	8.9	0 1 0
31.86	42.9	2 1 0
32.37	100.0	0 1 2
39.71	15.6	2 1 2
45.67	31.7	4 0 0
47.19	9.3	0 0 4
57.09	38.0	4 1 2
58.07	20.2	2 1 4
66.58	9.3	4 2 0
67.77	11.9	4 0 4

Structural model:
abc: 7.9488 3.9709 7.7035
angles: 90.00 90.00 90.00
Space group Pmma (No. 51)
Inequivalent atoms, fractional coordinates:
Ba  0.0000  0.0000  0.0000 x2
Y  0.0000  0.0000  0.5000 x2
Fe  0.2500  0.5000  0.2597 x2
Fe  0.2500  0.5000  0.7207 x2
O  0.0059  0.5000  0.3149 x4
O  0.2500  0.0000  0.3106 x2
O  0.2500  0.0000  0.6780 x2
O  0.2500  0.5000  0.0109 x2